This entry pairs a crystal structure of Pm12DySc7 with its calculated powder diffractogram. Radiation: CuKα. Structure: a PBE-relaxed structure.
Intensities are scaled so that the largest is 100.

Crystal structure
```
20
Lattice="7.4187 4.2832 3.2455 -7.4187 4.2832 3.2455 0.0000 -8.5664 3.2455" Properties=species:S:1:pos:R:3 pbc="T T T"
Pm -2.5799 -0.5208 2.4850
Pm -1.2568 -3.2965 4.0729
Pm 1.7410 -1.9739 2.4850
Pm -3.4832 -0.5598 5.6636
Pm -2.2264 2.7366 4.0729
Pm 0.8389 2.4947 2.4850
Pm -0.8389 -2.4947 7.2515
Pm 2.2264 -2.7366 5.6636
Pm 3.4832 0.5598 4.0729
Pm -1.7410 1.9739 7.2515
Pm 1.2568 3.2964 5.6636
Pm 2.5799 0.5208 7.2515
Dy 0.0000 0.0000 0.0000
Sc -2.3324 -6.3387 3.9388
Sc -6.6556 -1.1495 5.7977
Sc -4.3233 5.1892 3.9388
Sc 0.0000 0.0000 4.8682
Sc 4.3233 -5.1892 5.7977
Sc 6.6556 1.1495 3.9388
Sc 2.3324 6.3387 5.7977
```

Largest 6 diffraction maxima, sorted by position, 5 to 70 degrees two-theta:
2θ/deg, I_rel
26.6, 41.6
30.1, 51.3
31.1, 28.6
31.9, 100.0
34.7, 38.6
36.8, 36.2